Record 1
For Sm2Ni7, a DFT-relaxed cell (PBE, Alexandria) gives the calculated powder XRD pattern in this record (Cu Kα (weighted mean of Kα1 and Kα2)).

Principal peaks in the range 10 to 90 degrees two-theta, by angle:
2θ 32.1, I = 41.7, hkl 1 0 10; 2θ 34.1, I = 34.1, hkl 0 1 11; 2θ 36.0, I = 48.3, hkl 1 1 0; 2θ 41.9, I = 35.7, hkl 0 2 1; 2θ 42.6, I = 100.0, hkl 1 1 9; 2θ 44.7, I = 15.2, hkl 0 0 18; 2θ 46.5, I = 12.5, hkl 2 0 8; 2θ 62.3, I = 12.6, hkl 2 1 10; 2θ 69.3, I = 22.2, hkl 3 0 9; 2θ 76.4, I = 21.3, hkl 2 2 0

Atomic structure:
a b c (Å): 4.9852 4.9852 36.4913
angles (deg): 90.00 90.00 120.00
Space group R-3m (No. 166, hexagonal axes)
Symmetry-distinct sites (fractional):
Sm1 0.0000 0.0000 0.0506 (multiplicity 6)
Sm2 0.0000 0.0000 0.1469 (multiplicity 6)
Ni1 0.0000 0.0000 0.2785 (multiplicity 6)
Ni2 0.0000 0.0000 0.3878 (multiplicity 6)
Ni3 0.0000 0.0000 0.5000 (multiplicity 3)
Ni4 0.0000 0.5000 0.0000 (multiplicity 9)
Ni5 0.0001 0.5000 0.1089 (multiplicity 18)

---

Record 2
For Sm3OsBrCl, a DFT-relaxed cell (PBE, Alexandria) gives the calculated powder XRD pattern in this record (Cu Kα (weighted mean of Kα1 and Kα2)).

Principal peaks in the range 10 to 90 degrees two-theta, by angle:
2θ 29.1, I = 26.8, hkl 0 0 3; 2θ 30.2, I = 100.0, hkl 2 1 0; 2θ 31.3, I = 18.8, hkl 2 0 -3; 2θ 32.9, I = 16.9, hkl 1 1 2; 2θ 33.2, I = 26.0, hkl 2 1 1; 2θ 37.0, I = 17.6, hkl 0 1 3; 2θ 38.8, I = 24.8, hkl 2 1 -3; 2θ 39.8, I = 16.6, hkl 3 0 2; 2θ 40.3, I = 18.5, hkl 1 1 3; 2θ 45.8, I = 26.6, hkl 0 2 0

Atomic structure:
a b c (Å): 9.170 3.962 9.476
angles (deg): 90.00 103.54 90.00
Space group P2_1/m (No. 11)
Symmetry-distinct sites (fractional):
Sm1 0.139 0.250 0.107 (multiplicity 2)
Sm2 0.142 0.250 0.460 (multiplicity 2)
Sm3 0.260 0.750 0.811 (multiplicity 2)
Os1 0.035 0.250 0.761 (multiplicity 2)
Br1 0.413 0.750 0.132 (multiplicity 2)
Cl1 0.369 0.750 0.560 (multiplicity 2)

---

Record 3
For NpPt2Rh4, a DFT-relaxed cell (PBE, Alexandria) gives the calculated powder XRD pattern in this record (Cu Kα (weighted mean of Kα1 and Kα2)).

Principal peaks in the range 10 to 90 degrees two-theta, by angle:
2θ 36.4, I = 13.3, hkl 1 -2 0; 2θ 36.7, I = 20.0, hkl 0 1 -2; 2θ 36.9, I = 15.4, hkl -1 1 2; 2θ 39.2, I = 52.4, hkl 2 2 2; 2θ 41.2, I = 35.5, hkl 2 -1 1; 2θ 41.5, I = 32.5, hkl 1 0 3; 2θ 41.9, I = 100.0, hkl 0 3 1; 2θ 42.2, I = 29.8, hkl 1 2 -1; 2θ 65.7, I = 11.7, hkl 1 -3 2; 2θ 73.0, I = 12.2, hkl 4 2 1

Atomic structure:
a b c (Å): 5.426 6.677 7.297
angles (deg): 64.67 69.80 76.13
Space group P1 (No. 1)
Symmetry-distinct sites (fractional):
Np1 0.000 0.000 0.000 (multiplicity 1)
Np2 0.200 0.773 0.556 (multiplicity 1)
Pt1 0.057 0.207 0.264 (multiplicity 1)
Pt2 0.352 0.343 0.839 (multiplicity 1)
Pt3 0.456 0.715 0.873 (multiplicity 1)
Pt4 0.582 0.294 0.157 (multiplicity 1)
Rh1 0.150 0.583 0.303 (multiplicity 1)
Rh2 0.293 0.150 0.586 (multiplicity 1)
Rh3 0.478 0.913 0.129 (multiplicity 1)
Rh4 0.624 0.492 0.417 (multiplicity 1)
Rh5 0.729 0.870 0.429 (multiplicity 1)
Rh6 0.773 0.064 0.683 (multiplicity 1)
Rh7 0.872 0.431 0.722 (multiplicity 1)
Rh8 0.924 0.630 0.981 (multiplicity 1)

---

Record 4
For Pm4BiC2, a DFT-relaxed cell (PBE, Alexandria) gives the calculated powder XRD pattern in this record (Cu Kα (weighted mean of Kα1 and Kα2)).

Principal peaks in the range 10 to 90 degrees two-theta, by angle:
2θ 30.3, I = 54.6, hkl 0 2 4; 2θ 30.9, I = 45.4, hkl 0 4 2; 2θ 31.0, I = 85.5, hkl 1 1 3; 2θ 31.4, I = 100.0, hkl 1 3 1; 2θ 33.6, I = 22.1, hkl 1 3 2; 2θ 45.6, I = 22.9, hkl 2 0 0; 2θ 55.8, I = 19.7, hkl 2 2 4; 2θ 56.1, I = 17.4, hkl 2 4 2; 2θ 58.0, I = 25.3, hkl 1 3 7; 2θ 59.2, I = 18.7, hkl 1 7 3

Atomic structure:
a b c (Å): 3.977 12.852 13.270
angles (deg): 90.00 90.00 90.00
Space group Cmcm (No. 63)
Symmetry-distinct sites (fractional):
Pm1 0.000 0.000 0.000 (multiplicity 4)
Pm2 0.000 0.262 0.102 (multiplicity 8)
Pm3 0.000 0.414 0.750 (multiplicity 4)
Bi1 0.000 0.107 0.750 (multiplicity 4)
C1 0.000 0.362 0.558 (multiplicity 8)